# 1
Simulated powder diffractogram of LiFe2C4O12 for λ = 1.5418 Å (Cu Kα), from a cell relaxed with GGA+U.
Intensities are scaled so that the largest is 100.

Largest 12 diffraction maxima, in order of falling intensity, 10° ≤ 2θ ≤ 90°:
two_theta, d/Å, I_rel
13.9, 6.378, 100
14.3, 6.191, 79
28.0, 3.189, 21
21.4, 4.148, 17
30.5, 2.927, 15
19.3, 4.591, 15
23.1, 3.854, 15
42.5, 2.126, 13
15.7, 5.653, 12
34.5, 2.601, 11
30.4, 2.939, 10
23.9, 3.719, 10

Structural model:
```
LiFe2C4O12
1.0
7.3547 0.0000 0.0000
0.0000 9.6757 0.0000
-2.7274 0.0000 8.0566
Li Fe C O
2 4 8 24
Direct
0.2442 0.0000 0.1061
0.7558 0.5000 0.8939
0.2101 0.4319 0.1842
0.3195 0.7359 0.3295
0.6805 0.2359 0.6705
0.7899 0.9319 0.8158
0.0051 0.0715 0.6167
0.0161 0.7012 0.0002
0.4868 0.0830 0.8907
0.4998 0.4880 0.5207
0.5002 0.9880 0.4793
0.5132 0.5830 0.1093
0.9839 0.2012 0.9998
0.9949 0.5715 0.3833
0.0314 0.4609 0.3121
0.0340 0.5682 0.0169
0.0854 0.6871 0.3861
0.1276 0.2446 0.1232
0.1306 0.7875 0.0987
0.1343 0.0628 0.5488
0.3629 0.0943 0.9617
0.3751 0.9344 0.3467
0.4050 0.4717 0.0857
0.4186 0.4052 0.4000
0.4647 0.6173 0.5201
0.4889 0.6806 0.2076
0.5111 0.1806 0.7924
0.5353 0.1173 0.4799
0.5814 0.9052 0.6000
0.5950 0.9717 0.9143
0.6249 0.4344 0.6533
0.6371 0.5943 0.0383
0.8657 0.5628 0.4512
0.8694 0.2875 0.9013
0.8724 0.7446 0.8768
0.9146 0.1871 0.6139
0.9660 0.0682 0.9831
0.9686 0.9609 0.6879
```

=====

# 2
Simulated powder diffractogram of LiFe2C4O12 for λ = 1.5418 Å (Cu Kα), from a cell relaxed with GGA+U.
Intensities are scaled so that the largest is 100.

Largest 12 diffraction maxima, in order of falling intensity, 10° ≤ 2θ ≤ 90°:
two_theta, d/Å, I_rel
18.6, 4.768, 100
17.9, 4.953, 47
18.0, 4.919, 46
22.2, 4.004, 30
21.4, 4.149, 26
30.0, 2.979, 21
30.1, 2.964, 17
36.3, 2.474, 13
39.3, 2.295, 12
21.6, 4.111, 11
40.6, 2.223, 9
54.5, 1.683, 9

Structural model:
```
LiFe2C4O12
1.0
6.9770 0.0000 0.0000
-0.1624 7.6778 0.0000
-3.0270 -0.3160 9.5354
Li Fe C O
2 4 8 24
Direct
0.0000 0.0000 0.0000
0.4983 0.0007 0.5006
0.0013 0.5657 0.1995
0.0047 0.0627 0.6822
0.5010 0.5658 0.6995
0.5049 0.0627 0.1825
0.1935 0.8022 0.7512
0.2084 0.8353 0.2644
0.2988 0.3195 0.1375
0.3053 0.2974 0.6330
0.6936 0.8022 0.2511
0.7081 0.8353 0.7643
0.7985 0.3195 0.6373
0.8053 0.2973 0.1330
0.0513 0.8178 0.6323
0.0706 0.8185 0.1418
0.2016 0.4582 0.1139
0.2095 0.1492 0.5948
0.2191 0.9383 0.8360
0.2229 0.7056 0.3457
0.2455 0.1761 0.0590
0.2782 0.4272 0.5504
0.2967 0.6672 0.7817
0.3235 0.9729 0.3023
0.4407 0.3218 0.7544
0.4649 0.3067 0.2403
0.5512 0.8178 0.1323
0.5702 0.8186 0.6418
0.7013 0.4582 0.6138
0.7093 0.1494 0.0947
0.7197 0.9383 0.3358
0.7228 0.7055 0.8456
0.7452 0.1761 0.5589
0.7786 0.4272 0.0505
0.7967 0.6670 0.2814
0.8233 0.9729 0.8022
0.9407 0.3218 0.2544
0.9648 0.3067 0.7400
```

=====

# 3
Simulated powder diffractogram of LiFeC2O6 for λ = 1.5418 Å (Cu Kα), from a cell relaxed with GGA+U.
Intensities are scaled so that the largest is 100.

Largest 12 diffraction maxima, in order of falling intensity, 10° ≤ 2θ ≤ 90°:
two_theta, d/Å, I_rel
14.3, 6.181, 100
14.6, 6.085, 69
28.9, 3.091, 18
21.5, 4.126, 17
19.6, 4.530, 15
29.7, 3.007, 14
22.9, 3.885, 14
34.9, 2.573, 14
43.9, 2.061, 12
31.1, 2.875, 11
15.5, 5.729, 10
24.9, 3.581, 9

Structural model:
```
LiFeC2O6
1.0
7.3355 0.0000 0.0000
0.0000 9.9918 0.0000
-4.9015 0.0000 7.6708
Li Fe C O
4 4 8 24
Direct
0.1578 0.1107 0.1646
0.1578 0.3893 0.6646
0.8422 0.6107 0.3354
0.8422 0.8893 0.8354
0.0141 0.6460 0.0747
0.0141 0.8540 0.5747
0.9859 0.1460 0.4253
0.9859 0.3540 0.9253
0.0316 0.1110 0.7764
0.0316 0.3890 0.2764
0.4060 0.0089 0.6406
0.4060 0.4911 0.1406
0.5940 0.5089 0.8594
0.5940 0.9911 0.3594
0.9684 0.6110 0.7236
0.9684 0.8890 0.2236
0.0228 0.1601 0.9058
0.0228 0.3399 0.4058
0.0339 0.5173 0.2634
0.0339 0.9827 0.7634
0.0367 0.1932 0.6693
0.0367 0.3068 0.1693
0.2929 0.1136 0.5509
0.2929 0.3864 0.0509
0.3006 0.5959 0.1472
0.3006 0.9041 0.6472
0.3922 0.5078 0.7820
0.3922 0.9922 0.2820
0.6078 0.0078 0.7180
0.6078 0.4922 0.2180
0.6994 0.0959 0.3528
0.6994 0.4041 0.8528
0.7071 0.6136 0.9491
0.7071 0.8864 0.4491
0.9633 0.6932 0.8307
0.9633 0.8068 0.3307
0.9661 0.0173 0.2366
0.9661 0.4827 0.7366
0.9772 0.6601 0.5942
0.9772 0.8399 0.0942
```

=====

# 4
Simulated powder diffractogram of LiFe2C2O7 for λ = 1.5418 Å (Cu Kα), from a cell relaxed with GGA+U.
Intensities are scaled so that the largest is 100.

Largest 12 diffraction maxima, in order of falling intensity, 10° ≤ 2θ ≤ 90°:
two_theta, d/Å, I_rel
21.8, 4.079, 100
22.3, 3.992, 92
21.1, 4.219, 92
35.2, 2.546, 59
36.9, 2.436, 42
30.8, 2.900, 39
43.5, 2.079, 35
43.3, 2.091, 33
56.3, 1.635, 32
11.1, 7.983, 28
58.1, 1.587, 26
59.9, 1.544, 23

Structural model:
```
LiFe2C2O7
1.0
4.8720 0.0000 0.0000
-2.4360 4.2193 0.0000
0.0000 0.0000 15.9662
Li Fe C O
2 4 4 14
Direct
0.0000 0.0000 0.0000
0.0000 0.0000 0.5000
0.3333 0.6667 0.1460
0.3333 0.6667 0.3767
0.6667 0.3333 0.6460
0.6667 0.3333 0.8767
0.3333 0.6667 0.5983
0.3333 0.6667 0.9294
0.6667 0.3333 0.0983
0.6667 0.3333 0.4294
0.0774 0.3947 0.9280
0.0822 0.6824 0.5976
0.3172 0.9226 0.9280
0.3176 0.3999 0.5976
0.3333 0.6667 0.2551
0.3947 0.0774 0.4280
0.3999 0.3176 0.0976
0.6001 0.9178 0.5976
0.6053 0.6828 0.9280
0.6667 0.3333 0.7551
0.6824 0.0822 0.0976
0.6828 0.6053 0.4280
0.9178 0.6001 0.0976
0.9226 0.3172 0.4280
```

=====

# 5
Simulated powder diffractogram of Li2Fe2C3O9 for λ = 1.5418 Å (Cu Kα), from a cell relaxed with GGA+U.
Intensities are scaled so that the largest is 100.

Largest 12 diffraction maxima, in order of falling intensity, 10° ≤ 2θ ≤ 90°:
two_theta, d/Å, I_rel
23.7, 3.758, 100
15.5, 5.730, 87
23.2, 3.828, 87
35.7, 2.513, 61
18.1, 4.898, 53
36.3, 2.473, 52
35.5, 2.530, 41
47.6, 1.910, 35
25.3, 3.519, 34
52.0, 1.759, 23
40.1, 2.248, 22
48.5, 1.879, 21

Structural model:
```
Li2Fe2C3O9
1.0
3.5338 -4.8977 0.0000
3.5338 4.8977 0.0000
-0.1162 0.0000 5.0591
Li Fe C O
2 2 3 9
Direct
0.2003 0.7997 0.0000
0.7997 0.2003 0.0000
0.0105 0.0105 0.4947
0.6788 0.6788 0.9777
0.3234 0.3234 0.9950
0.5545 0.9596 0.4898
0.9596 0.5545 0.4898
0.1396 0.1396 0.9911
0.3104 0.5343 0.9969
0.3543 0.9827 0.4878
0.5343 0.3104 0.9969
0.6691 0.9493 0.2734
0.6699 0.9506 0.7113
0.9493 0.6691 0.2734
0.9506 0.6699 0.7113
0.9827 0.3543 0.4878
```

=====

# 6
Simulated powder diffractogram of LiFe2C2O7 for λ = 1.5418 Å (Cu Kα), from a cell relaxed with GGA+U.
Intensities are scaled so that the largest is 100.

Largest 12 diffraction maxima, in order of falling intensity, 10° ≤ 2θ ≤ 90°:
two_theta, d/Å, I_rel
31.8, 2.818, 100
26.8, 3.325, 87
30.8, 2.907, 85
17.6, 5.050, 81
34.7, 2.588, 77
34.6, 2.592, 70
44.3, 2.044, 59
46.2, 1.967, 47
42.1, 2.144, 46
31.4, 2.853, 46
37.6, 2.393, 42
18.2, 4.868, 39

Structural model:
```
LiFe2C2O7
1.0
10.4453 0.0000 0.0000
0.0000 5.9898 0.0000
-4.0877 0.0000 8.3880
Li Fe C O
4 8 8 28
Direct
0.0072 0.0596 0.2408
0.0072 0.4404 0.7408
0.9928 0.5596 0.2592
0.9928 0.9404 0.7592
0.3381 0.6152 0.9038
0.3381 0.8848 0.4038
0.4883 0.0808 0.2092
0.4883 0.4192 0.7092
0.5117 0.5808 0.2908
0.5117 0.9192 0.7908
0.6619 0.1152 0.5962
0.6619 0.3848 0.0962
0.1674 0.7397 0.0725
0.1674 0.7603 0.5725
0.2743 0.1566 0.8425
0.2743 0.3434 0.3425
0.7257 0.6566 0.6575
0.7257 0.8434 0.1575
0.8326 0.2397 0.4275
0.8326 0.2603 0.9275
0.0616 0.7020 0.9425
0.0616 0.7980 0.4425
0.1576 0.6949 0.7009
0.1576 0.8051 0.2009
0.1610 0.1730 0.8593
0.1610 0.3270 0.3593
0.3000 0.7108 0.0864
0.3000 0.7892 0.5864
0.3172 0.1759 0.2818
0.3172 0.3241 0.7818
0.3600 0.5165 0.3876
0.3600 0.9835 0.8876
0.4786 0.1235 0.6058
0.4786 0.3765 0.1058
0.5214 0.6235 0.8942
0.5214 0.8765 0.3942
0.6400 0.0165 0.1124
0.6400 0.4835 0.6124
0.6828 0.6759 0.2182
0.6828 0.8241 0.7182
0.7000 0.2108 0.4136
0.7000 0.2892 0.9136
0.8390 0.6730 0.6407
0.8390 0.8270 0.1407
0.8424 0.1949 0.7991
0.8424 0.3051 0.2991
0.9384 0.2020 0.5575
0.9384 0.2980 0.0575
```

=====

# 7
Simulated powder diffractogram of LiFeC2O6 for λ = 1.5418 Å (Cu Kα), from a cell relaxed with GGA+U.
Intensities are scaled so that the largest is 100.

Largest 12 diffraction maxima, in order of falling intensity, 10° ≤ 2θ ≤ 90°:
two_theta, d/Å, I_rel
19.0, 4.682, 100
18.4, 4.821, 83
19.6, 4.523, 36
32.6, 2.747, 30
34.5, 2.597, 18
29.5, 3.025, 16
29.9, 2.990, 15
33.4, 2.683, 12
51.2, 1.785, 11
44.8, 2.023, 10
57.3, 1.607, 9
41.8, 2.161, 9

Structural model:
```
LiFeC2O6
1.0
2.7953 -5.4940 0.0000
2.7953 5.4940 0.0000
-2.3351 0.0000 7.9684
Li Fe C O
2 2 4 12
Direct
0.0863 0.9137 0.5000
0.9137 0.0863 0.0000
0.4612 0.7278 0.3441
0.7278 0.4612 0.8441
0.0165 0.6841 0.1337
0.4818 0.6347 0.0493
0.6347 0.4818 0.5493
0.6841 0.0165 0.6337
0.0789 0.8260 0.0211
0.1720 0.7869 0.2866
0.2736 0.4517 0.1024
0.4297 0.7900 0.5846
0.4517 0.2736 0.6024
0.5087 0.5903 0.9005
0.5903 0.5087 0.4005
0.6682 0.8746 0.1580
0.7869 0.1720 0.7866
0.7900 0.4297 0.0846
0.8260 0.0789 0.5211
0.8746 0.6682 0.6580
```

=====

# 8
Simulated powder diffractogram of LiFe2C2O7 for λ = 1.5418 Å (Cu Kα), from a cell relaxed with GGA+U.
Intensities are scaled so that the largest is 100.

Largest 12 diffraction maxima, in order of falling intensity, 10° ≤ 2θ ≤ 90°:
two_theta, d/Å, I_rel
16.3, 5.423, 100
19.5, 4.551, 84
24.8, 3.589, 33
32.0, 2.798, 23
26.6, 3.353, 18
37.5, 2.398, 16
16.0, 5.539, 16
41.8, 2.159, 12
53.0, 1.726, 11
25.7, 3.471, 11
33.1, 2.710, 11
47.5, 1.913, 10

Structural model:
```
LiFe2C2O7
1.0
7.7188 0.0000 0.0000
0.0000 7.9812 0.0000
-4.3828 0.0000 11.0784
Li Fe C O
4 8 8 28
Direct
0.0105 0.2346 0.4034
0.0105 0.2654 0.9034
0.9895 0.7346 0.0966
0.9895 0.7654 0.5966
0.1639 0.1116 0.6451
0.1639 0.3884 0.1451
0.2809 0.5998 0.3864
0.2809 0.9002 0.8864
0.7191 0.0998 0.1136
0.7191 0.4002 0.6136
0.8361 0.6116 0.8549
0.8361 0.8884 0.3549
0.2381 0.6089 0.9629
0.2381 0.8911 0.4629
0.3280 0.0872 0.0873
0.3280 0.4128 0.5873
0.6720 0.5872 0.4127
0.6720 0.9128 0.9127
0.7619 0.1089 0.5371
0.7619 0.3911 0.0371
0.1079 0.7205 0.9619
0.1079 0.7795 0.4619
0.1236 0.5838 0.2279
0.1236 0.9162 0.7279
0.2054 0.0814 0.9756
0.2054 0.4186 0.4756
0.2340 0.0418 0.4975
0.2340 0.4582 0.9975
0.2972 0.1713 0.1687
0.2972 0.3287 0.6687
0.3629 0.6652 0.9243
0.3629 0.8348 0.4243
0.4794 0.5014 0.6108
0.4794 0.9986 0.1108
0.5206 0.0014 0.8892
0.5206 0.4986 0.3892
0.6371 0.1652 0.5757
0.6371 0.3348 0.0757
0.7028 0.6713 0.3313
0.7028 0.8287 0.8313
0.7660 0.5418 0.0025
0.7660 0.9582 0.5025
0.7946 0.5814 0.5244
0.7946 0.9186 0.0244
0.8764 0.0838 0.2721
0.8764 0.4162 0.7721
0.8921 0.2205 0.5381
0.8921 0.2795 0.0381
```